Diffraction record for EuCd2As2. The powder X-ray diffraction pattern is computed, not measured: it uses DFT lattice parameters and positions (PBE) and Cu Ka.

a b c (Å): 4.5078 4.5078 7.3106
angles (deg): 90.00 90.00 120.00
Sites, in units of the cell vectors:
Eu: 0.0000 0.0000 0.0000
Cd: 0.3333 0.6667 0.3658
Cd: 0.6667 0.3333 0.6342
As: 0.3333 0.6667 0.7575
As: 0.6667 0.3333 0.2425

Principal peaks in the range 2θ = 5–70°, low angle first:
- 2θ = 22.78°, intensity 2
- 2θ = 25.87°, intensity 96
- 2θ = 33.59°, intensity 100
- 2θ = 36.89°, intensity 13
- 2θ = 40.00°, intensity 86
- 2θ = 43.79°, intensity 30
- 2θ = 48.26°, intensity 18
- 2θ = 53.20°, intensity 26
- 2θ = 55.53°, intensity 32
- 2θ = 60.80°, intensity 11
- 2θ = 64.42°, intensity 15
- 2θ = 68.57°, intensity 36


Diffraction record for Mn2Cu10Sb4S13. The powder X-ray diffraction pattern is computed, not measured: it uses DFT lattice parameters and positions (PBE) and Cu Ka.

a b c (Å): 9.0510 9.0510 9.0510
angles (deg): 110.21 110.21 108.00
Sites, in units of the cell vectors:
Mn: 0.2224 0.2224 0.0000
Mn: 0.7776 0.7776 0.0000
Cu: 0.0000 0.2218 0.2218
Cu: 0.0000 0.7782 0.7782
Cu: 0.2218 0.0000 0.2218
Cu: 0.2476 0.5000 0.7476
Cu: 0.2500 0.7500 0.5000
Cu: 0.5000 0.2476 0.7476
Cu: 0.5000 0.7524 0.2524
Cu: 0.7500 0.2500 0.5000
Cu: 0.7524 0.5000 0.2524
Cu: 0.7782 0.0000 0.7782
Sb: 0.0078 0.0078 0.5420
Sb: 0.4658 0.4658 0.4580
Sb: 0.5342 0.9922 0.0000
Sb: 0.9922 0.5342 0.0000
S: 0.0000 0.0000 0.0000
S: 0.0023 0.4804 0.2514
S: 0.2290 0.7510 0.7486
S: 0.2490 0.9977 0.4781
S: 0.2514 0.4884 0.0000
S: 0.4804 0.0023 0.2514
S: 0.4884 0.2514 0.0000
S: 0.5116 0.5116 0.7630
S: 0.5196 0.7710 0.5219
S: 0.7486 0.7486 0.2370
S: 0.7510 0.2290 0.7486
S: 0.7710 0.5196 0.5219
S: 0.9977 0.2490 0.4781

Principal peaks in the range 2θ = 5–70°, low angle first:
- 2θ = 23.98°, intensity 7
- 2θ = 29.62°, intensity 100
- 2θ = 31.78°, intensity 4
- 2θ = 33.70°, intensity 9
- 2θ = 34.65°, intensity 15
- 2θ = 36.77°, intensity 7
- 2θ = 44.58°, intensity 4
- 2θ = 49.11°, intensity 35
- 2θ = 49.81°, intensity 16
- 2θ = 54.59°, intensity 5
- 2θ = 57.77°, intensity 12
- 2θ = 59.03°, intensity 19


Diffraction record for La3GaCoS7. The powder X-ray diffraction pattern is computed, not measured: it uses DFT lattice parameters and positions (PBE) and Cu Ka.

a b c (Å): 10.1654 10.1654 5.9784
angles (deg): 90.00 90.00 120.00
Sites, in units of the cell vectors:
La: 0.1403 0.3704 0.0000
La: 0.2300 0.8597 0.0000
La: 0.3704 0.2300 0.5000
La: 0.6296 0.7700 0.0000
La: 0.7700 0.1403 0.5000
La: 0.8597 0.6296 0.5000
Ga: 0.3333 0.6667 0.4197
Ga: 0.6667 0.3333 0.9197
Co: 0.0000 0.0000 0.2826
Co: 0.0000 0.0000 0.7826
S: 0.0850 0.2217 0.5401
S: 0.0954 0.5788 0.2729
S: 0.1367 0.9150 0.5401
S: 0.2217 0.1367 0.0401
S: 0.3333 0.6667 0.7945
S: 0.4212 0.5166 0.2729
S: 0.4834 0.9046 0.2729
S: 0.5166 0.0954 0.7729
S: 0.5788 0.4834 0.7729
S: 0.6667 0.3333 0.2945
S: 0.7783 0.8633 0.5401
S: 0.8633 0.0850 0.0401
S: 0.9046 0.4212 0.7729
S: 0.9150 0.7783 0.0401

Principal peaks in the range 2θ = 5–70°, low angle first:
- 2θ = 17.94°, intensity 19
- 2θ = 22.97°, intensity 25
- 2θ = 25.12°, intensity 100
- 2θ = 26.79°, intensity 25
- 2θ = 34.03°, intensity 30
- 2θ = 34.82°, intensity 18
- 2θ = 35.32°, intensity 38
- 2θ = 36.33°, intensity 39
- 2θ = 36.81°, intensity 19
- 2θ = 39.88°, intensity 31
- 2θ = 40.57°, intensity 22
- 2θ = 49.86°, intensity 21


Diffraction record for LuI3O10. The powder X-ray diffraction pattern is computed, not measured: it uses DFT lattice parameters and positions (PBE) and Cu Ka.

a b c (Å): 7.6372 10.6023 13.3472
angles (deg): 90.00 113.92 90.00
Sites, in units of the cell vectors:
Lu: 0.1276 0.2008 0.1308
Lu: 0.1276 0.2992 0.6308
Lu: 0.8724 0.7008 0.3692
Lu: 0.8724 0.7992 0.8692
I: 0.1855 0.0070 0.4466
I: 0.1855 0.4930 0.9466
I: 0.2070 0.0772 0.8720
I: 0.2070 0.4228 0.3720
I: 0.3532 0.7043 0.6588
I: 0.3532 0.7957 0.1588
I: 0.6468 0.2043 0.8412
I: 0.6468 0.2957 0.3412
I: 0.7930 0.5772 0.6280
I: 0.7930 0.9228 0.1280
I: 0.8145 0.5070 0.0534
I: 0.8145 0.9930 0.5534
O: 0.0226 0.0071 0.1725
O: 0.0226 0.4929 0.6725
O: 0.0398 0.0935 0.5979
O: 0.0398 0.4065 0.0979
O: 0.1202 0.6818 0.5196
O: 0.1202 0.8182 0.0196
O: 0.1398 0.2296 0.8028
O: 0.1398 0.2704 0.3028
O: 0.2276 0.7205 0.3551
O: 0.2276 0.7795 0.8551
O: 0.2681 0.1242 0.0139
O: 0.2681 0.3758 0.5139
O: 0.3638 0.7095 0.9133
O: 0.3638 0.7905 0.4133
O: 0.3979 0.0588 0.2374
O: 0.3979 0.4412 0.7374
O: 0.4129 0.2112 0.7023
O: 0.4129 0.2888 0.2023
O: 0.4582 0.5734 0.1715
O: 0.4582 0.9266 0.6715
O: 0.5418 0.0734 0.3285
O: 0.5418 0.4266 0.8285
O: 0.5871 0.7112 0.7977
O: 0.5871 0.7888 0.2977
O: 0.6021 0.5588 0.2626
O: 0.6021 0.9412 0.7626
O: 0.6362 0.2095 0.5867
O: 0.6362 0.2905 0.0867
O: 0.7319 0.6242 0.4861
O: 0.7319 0.8758 0.9861
O: 0.7724 0.2205 0.1449
O: 0.7724 0.2795 0.6449
O: 0.8602 0.7296 0.6972
O: 0.8602 0.7704 0.1972
O: 0.8798 0.1818 0.9804
O: 0.8798 0.3182 0.4804
O: 0.9602 0.5935 0.9021
O: 0.9602 0.9065 0.4021
O: 0.9774 0.5071 0.3275
O: 0.9774 0.9929 0.8275

Principal peaks in the range 2θ = 5–70°, low angle first:
- 2θ = 12.68°, intensity 45
- 2θ = 17.11°, intensity 55
- 2θ = 22.48°, intensity 100
- 2θ = 23.43°, intensity 59
- 2θ = 26.25°, intensity 72
- 2θ = 26.73°, intensity 42
- 2θ = 26.89°, intensity 93
- 2θ = 28.51°, intensity 76
- 2θ = 29.16°, intensity 64
- 2θ = 29.28°, intensity 45
- 2θ = 31.11°, intensity 35
- 2θ = 31.28°, intensity 50


Diffraction record for InAg3P2O8. The powder X-ray diffraction pattern is computed, not measured: it uses DFT lattice parameters and positions (PBE) and Cu Ka.

a b c (Å): 5.2352 5.2352 7.4572
angles (deg): 93.54 93.54 64.80
Sites, in units of the cell vectors:
In: 0.0000 0.0000 0.0000
Ag: 0.0000 0.0000 0.5000
Ag: 0.3317 0.3317 0.3207
Ag: 0.6683 0.6683 0.6793
P: 0.3387 0.3387 0.7905
P: 0.6613 0.6613 0.2095
O: 0.2207 0.6703 0.7966
O: 0.2374 0.2374 0.9496
O: 0.2441 0.2441 0.6071
O: 0.3297 0.7793 0.2034
O: 0.6703 0.2207 0.7966
O: 0.7559 0.7559 0.3929
O: 0.7626 0.7626 0.0504
O: 0.7793 0.3297 0.2034

Principal peaks in the range 2θ = 5–70°, low angle first:
- 2θ = 21.86°, intensity 15
- 2θ = 30.29°, intensity 42
- 2θ = 31.16°, intensity 100
- 2θ = 31.91°, intensity 50
- 2θ = 34.45°, intensity 74
- 2θ = 44.57°, intensity 34
- 2θ = 49.05°, intensity 16
- 2θ = 52.14°, intensity 18
- 2θ = 56.39°, intensity 15
- 2θ = 58.50°, intensity 16
- 2θ = 58.63°, intensity 16
- 2θ = 60.19°, intensity 18


Diffraction record for CuS4N4Cl2. The powder X-ray diffraction pattern is computed, not measured: it uses DFT lattice parameters and positions (PBE) and Cu Ka.

a b c (Å): 19.3986 6.7324 6.8282
angles (deg): 90.00 90.00 90.00
Sites, in units of the cell vectors:
Cu: 0.0000 0.0000 0.0000
Cu: 0.0000 0.5000 0.0000
Cu: 0.5000 0.0000 0.5000
Cu: 0.5000 0.5000 0.5000
S: 0.1295 0.0488 0.3826
S: 0.1295 0.4512 0.3826
S: 0.1701 0.2500 0.0553
S: 0.2484 0.7500 0.8680
S: 0.2516 0.2500 0.3680
S: 0.3299 0.7500 0.5553
S: 0.3705 0.5488 0.8826
S: 0.3705 0.9512 0.8826
S: 0.6295 0.0488 0.1174
S: 0.6295 0.4512 0.1174
S: 0.6701 0.2500 0.4447
S: 0.7484 0.7500 0.6320
S: 0.7516 0.2500 0.1320
S: 0.8299 0.7500 0.9447
S: 0.8705 0.5488 0.6174
S: 0.8705 0.9512 0.6174
N: 0.1290 0.0580 0.1451
N: 0.1290 0.4420 0.1451
N: 0.2097 0.0569 0.4476
N: 0.2097 0.4431 0.4476
N: 0.2903 0.5569 0.9476
N: 0.2903 0.9431 0.9476
N: 0.3710 0.5580 0.6451
N: 0.3710 0.9420 0.6451
N: 0.6290 0.0580 0.3549
N: 0.6290 0.4420 0.3549
N: 0.7097 0.0569 0.0524
N: 0.7097 0.4431 0.0524
N: 0.7903 0.5569 0.5524
N: 0.7903 0.9431 0.5524
N: 0.8710 0.5580 0.8549
N: 0.8710 0.9420 0.8549
Cl: 0.0182 0.2500 0.7749
Cl: 0.0394 0.7500 0.7960
Cl: 0.4606 0.2500 0.2960
Cl: 0.4818 0.7500 0.2749
Cl: 0.5182 0.2500 0.7251
Cl: 0.5394 0.7500 0.7040
Cl: 0.9606 0.2500 0.2040
Cl: 0.9818 0.7500 0.2251

Principal peaks in the range 2θ = 5–70°, low angle first:
- 2θ = 9.12°, intensity 61
- 2θ = 13.75°, intensity 100
- 2θ = 15.87°, intensity 56
- 2θ = 16.03°, intensity 49
- 2θ = 18.51°, intensity 42
- 2θ = 18.90°, intensity 86
- 2θ = 26.45°, intensity 56
- 2θ = 30.60°, intensity 41
- 2θ = 32.74°, intensity 73
- 2θ = 37.51°, intensity 34
- 2θ = 38.69°, intensity 51
- 2θ = 42.05°, intensity 44


Diffraction record for Sm3Ho. The powder X-ray diffraction pattern is computed, not measured: it uses DFT lattice parameters and positions (PBE) and Cu Ka.

a b c (Å): 7.2913 7.2913 5.7883
angles (deg): 90.00 90.00 120.00
Sites, in units of the cell vectors:
Sm: 0.1668 0.3335 0.2500
Sm: 0.1668 0.8332 0.2500
Sm: 0.3335 0.1668 0.7500
Sm: 0.6665 0.8332 0.2500
Sm: 0.8332 0.1668 0.7500
Sm: 0.8332 0.6665 0.7500
Ho: 0.3333 0.6667 0.7500
Ho: 0.6667 0.3333 0.2500

Principal peaks in the range 2θ = 5–70°, low angle first:
- 2θ = 28.27°, intensity 24
- 2θ = 30.90°, intensity 25
- 2θ = 32.30°, intensity 100
- 2θ = 42.37°, intensity 16
- 2θ = 50.04°, intensity 20
- 2θ = 55.84°, intensity 21
- 2θ = 58.46°, intensity 3
- 2θ = 59.98°, intensity 23
- 2θ = 60.82°, intensity 16
- 2θ = 64.38°, intensity 3
- 2θ = 67.60°, intensity 4